Entry 1:
Starting from a GGA-PBE-relaxed structure, the powder X-ray diffraction pattern of Sm3In2Ag3 was calculated for Cu Kα, 1.54184 Å.

Principal peaks in the range 2θ from 10° to 90°, in order of falling intensity:
2θ = 34.0°, I 100
2θ = 34.2°, I 26
2θ = 35.5°, I 20
2θ = 61.1°, I 18
2θ = 50.1°, I 15
2θ = 62.7°, I 12
2θ = 47.6°, I 10
2θ = 71.6°, I 10
2θ = 59.9°, I 10
2θ = 60.7°, I 9

Structural model:
```
data_Sm3In2Ag3
_cell_length_a 10.6333
_cell_length_b 10.6333
_cell_length_c 10.6333
_cell_angle_alpha 159.29
_cell_angle_beta 151.44
_cell_angle_gamma 35.54
_symmetry_space_group_name_H-M 'P 1'
_symmetry_Int_Tables_number 1
loop_
_symmetry_equiv_pos_as_xyz
'x,y,z'
loop_
_atom_site_label
_atom_site_fract_x
_atom_site_fract_y
_atom_site_fract_z
Sm1 0.0000 0.0000 0.0000
Sm2 0.3703 0.8703 0.5000
Sm3 0.6297 0.1297 0.5000
In1 0.2351 0.2351 0.0000
In2 0.7649 0.7649 0.0000
Ag1 0.1214 0.6214 0.5000
Ag2 0.5000 0.5000 0.0000
Ag3 0.8786 0.3786 0.5000
```



Entry 2:
Starting from a GGA-PBE-relaxed structure, the powder X-ray diffraction pattern of K2NbF6 was calculated for Cu Kα, 1.54184 Å.

Principal peaks in the range 2θ from 10° to 90°, in order of falling intensity:
2θ = 22.6°, I 100
2θ = 43.3°, I 64
2θ = 28.2°, I 63
2θ = 17.7°, I 58
2θ = 15.4°, I 25
2θ = 54.9°, I 22
2θ = 46.0°, I 20
2θ = 32.6°, I 16
2θ = 53.1°, I 15
2θ = 74.4°, I 11

Structural model:
```
data_K2NbF6
_cell_length_a 5.5754
_cell_length_b 5.5754
_cell_length_c 11.5115
_cell_angle_alpha 90.00
_cell_angle_beta 90.00
_cell_angle_gamma 90.00
_symmetry_space_group_name_H-M 'P 1'
_symmetry_Int_Tables_number 1
loop_
_symmetry_equiv_pos_as_xyz
'x,y,z'
loop_
_atom_site_label
_atom_site_fract_x
_atom_site_fract_y
_atom_site_fract_z
K1 0.0000 0.0000 0.1658
K2 0.0000 0.0000 0.8342
K3 0.5000 0.5000 0.3342
K4 0.5000 0.5000 0.6658
Nb1 0.0000 0.0000 0.5000
Nb2 0.5000 0.5000 0.0000
F1 0.1729 0.1729 0.3678
F2 0.1729 0.1729 0.6322
F3 0.2492 0.2492 0.0000
F4 0.2508 0.7492 0.5000
F5 0.3271 0.6729 0.1322
F6 0.3271 0.6729 0.8678
F7 0.6729 0.3271 0.1322
F8 0.6729 0.3271 0.8678
F9 0.7492 0.2508 0.5000
F10 0.7508 0.7508 0.0000
F11 0.8271 0.8271 0.3678
F12 0.8271 0.8271 0.6322
```



Entry 3:
Starting from a GGA-PBE-relaxed structure, the powder X-ray diffraction pattern of La5Pm4Sc was calculated for Cu Kα, 1.54184 Å.

Principal peaks in the range 2θ from 10° to 90°, in order of falling intensity:
2θ = 30.9°, I 100
2θ = 31.2°, I 71
2θ = 31.0°, I 35
2θ = 60.4°, I 29
2θ = 32.1°, I 28
2θ = 29.1°, I 26
2θ = 27.1°, I 21
2θ = 29.5°, I 18
2θ = 36.7°, I 16
2θ = 55.3°, I 16

Structural model:
```
data_La5Pm4Sc
_cell_length_a 9.0002
_cell_length_b 9.0002
_cell_length_c 11.5805
_cell_angle_alpha 109.30
_cell_angle_beta 109.30
_cell_angle_gamma 23.18
_symmetry_space_group_name_H-M 'P 1'
_symmetry_Int_Tables_number 1
loop_
_symmetry_equiv_pos_as_xyz
'x,y,z'
loop_
_atom_site_label
_atom_site_fract_x
_atom_site_fract_y
_atom_site_fract_z
La1 0.0000 0.0000 0.0000
La2 0.2958 0.2958 0.3927
La3 0.3091 0.3091 0.9141
La4 0.6909 0.6909 0.0859
La5 0.7042 0.7042 0.6073
Pm1 0.1045 0.1045 0.7937
Pm2 0.4183 0.4183 0.7015
Pm3 0.5817 0.5817 0.2985
Pm4 0.8955 0.8955 0.2063
Sc1 0.0000 0.0000 0.5000
```



Entry 4:
Starting from a GGA-PBE-relaxed structure, the powder X-ray diffraction pattern of Ac7Pr3Sm was calculated for Cu Kα, 1.54184 Å.

Principal peaks in the range 2θ from 10° to 90°, in order of falling intensity:
2θ = 30.3°, I 100
2θ = 29.7°, I 84
2θ = 27.6°, I 77
2θ = 28.6°, I 38
2θ = 40.1°, I 32
2θ = 50.5°, I 25
2θ = 23.8°, I 24
2θ = 55.7°, I 22
2θ = 50.1°, I 20
2θ = 36.8°, I 20

Structural model:
```
data_Ac7Pr3Sm
_cell_length_a 9.1584
_cell_length_b 9.1584
_cell_length_c 6.4743
_cell_angle_alpha 110.65
_cell_angle_beta 110.65
_cell_angle_gamma 86.03
_symmetry_space_group_name_H-M 'P 1'
_symmetry_Int_Tables_number 1
loop_
_symmetry_equiv_pos_as_xyz
'x,y,z'
loop_
_atom_site_label
_atom_site_fract_x
_atom_site_fract_y
_atom_site_fract_z
Ac1 0.0000 0.0000 0.0000
Ac2 0.1027 0.5202 0.3111
Ac3 0.2959 0.2959 0.7955
Ac4 0.4798 0.8973 0.6889
Ac5 0.5202 0.1027 0.3111
Ac6 0.7041 0.7041 0.2045
Ac7 0.8973 0.4798 0.6889
Pr1 0.2892 0.7108 0.0000
Pr2 0.5000 0.5000 0.5000
Pr3 0.7108 0.2892 0.0000
Sm1 0.0000 0.0000 0.5000
```